Computed powder diffraction line list
Compound: AcLa2Tl3S6
Radiation: Cu Kα, 1.54184 Å
Structure: a crystal structure in Alexandria, relaxed with PBE

Main lines, by intensity (2θ = 10–90°):
two_theta	intensity
28.66	100
25.02	66
40.29	37
41.66	37
23.95	27
48.62	25
51.35	20
68.18	17
66.24	16
47.41	15

Crystal structure
```
data_AcLa2Tl3S6
_chemical_formula_sum 'Ac2 La4 Tl6 S12'
_cell_length_a 7.512
_cell_length_b 13.004
_cell_length_c 7.844
_cell_angle_alpha 90.00
_cell_angle_beta 108.61
_cell_angle_gamma 90.00
_space_group_name_H-M_alt 'C 1 2/m 1'
_space_group_IT_number 12
loop_
_space_group_symop_operation_xyz
'x,y,z'
'-x,-y,-z'
'-x,y,-z'
'x,-y,z'
'x+1/2,y+1/2,z'
'-x+1/2,-y+1/2,-z'
'-x+1/2,y+1/2,-z'
'x+1/2,-y+1/2,z'
loop_
_atom_site_label
_atom_site_type_symbol
_atom_site_fract_x
_atom_site_fract_y
_atom_site_fract_z
Ac1 Ac 0.000 0.000 0.000
La1 La 0.000 0.333 0.000
Tl1 Tl 0.000 0.167 0.500
Tl2 Tl 0.000 0.500 0.500
S1 S 0.227 0.500 0.205
S2 S 0.240 0.171 0.207
```